1.
Simulated powder X-ray diffraction pattern of Lu2GeO5 for Cu Kα (weighted mean of Kα1 and Kα2), from a GGA-PBE-relaxed structure.
Kinematic intensities with the Lorentz-polarization factor, no thermal factor.

Cell: 8.0827 8.0827 10.3012 Å, 118.50 118.50 49.50°
Element x y z (fractional)
Lu  0.0136  0.2608  0.8388
Lu  0.2051  0.7247  0.5321
Lu  0.2608  0.0136  0.3388
Lu  0.2753  0.7949  0.9679
Lu  0.7247  0.2051  0.0321
Lu  0.7392  0.9864  0.6612
Lu  0.7949  0.2753  0.4679
Lu  0.9864  0.7392  0.1612
Ge  0.2213  0.4078  0.6915
Ge  0.4078  0.2213  0.1915
Ge  0.5922  0.7787  0.8085
Ge  0.7787  0.5922  0.3085
O  0.0393  0.3472  0.6759
O  0.0808  0.8853  0.1031
O  0.0840  0.6824  0.6726
O  0.1147  0.9192  0.3969
O  0.2147  0.3774  0.0532
O  0.3176  0.9160  0.8274
O  0.3472  0.0393  0.1759
O  0.3774  0.2147  0.5532
O  0.4090  0.4273  0.8715
O  0.4273  0.4090  0.3715
O  0.5727  0.5910  0.6285
O  0.5910  0.5727  0.1285
O  0.6226  0.7853  0.4468
O  0.6528  0.9607  0.8241
O  0.6824  0.0840  0.1726
O  0.7853  0.6226  0.9468
O  0.8853  0.0808  0.6031
O  0.9160  0.3176  0.3274
O  0.9192  0.1147  0.8969
O  0.9607  0.6528  0.3241

Top 10 peaks for 10 to 90 degrees two-theta, in order of rising 2θ:
2θ = 14.89°, intensity 25
2θ = 22.45°, intensity 45
2θ = 24.84°, intensity 48
2θ = 28.27°, intensity 58
2θ = 29.67°, intensity 73
2θ = 30.03°, intensity 28
2θ = 30.47°, intensity 100
2θ = 34.40°, intensity 45
2θ = 37.35°, intensity 28
2θ = 40.67°, intensity 20

2.
Simulated powder X-ray diffraction pattern of LuGe2Os for Cu Kα (weighted mean of Kα1 and Kα2), from a GGA-PBE-relaxed structure.
Kinematic intensities with the Lorentz-polarization factor, no thermal factor.

Cell: 9.6330 10.5525 8.3553 Å, 90.00 90.00 90.00°
Element x y z (fractional)
Lu  0.1645  0.1771  0.0000
Lu  0.1774  0.4497  0.2456
Lu  0.1774  0.4497  0.7544
Lu  0.3226  0.9497  0.2456
Lu  0.3226  0.9497  0.7544
Lu  0.3355  0.6771  0.0000
Lu  0.6645  0.3229  0.0000
Lu  0.6774  0.0503  0.2456
Lu  0.6774  0.0503  0.7544
Lu  0.8226  0.5503  0.2456
Lu  0.8226  0.5503  0.7544
Lu  0.8355  0.8229  0.0000
Ge  0.0360  0.6179  0.0000
Ge  0.0476  0.6169  0.5000
Ge  0.1275  0.9047  0.5000
Ge  0.1309  0.8999  0.0000
Ge  0.1572  0.1800  0.3475
Ge  0.1572  0.1800  0.6525
Ge  0.3428  0.6800  0.3475
Ge  0.3428  0.6800  0.6525
Ge  0.3691  0.3999  0.0000
Ge  0.3725  0.4047  0.5000
Ge  0.4524  0.1169  0.5000
Ge  0.4640  0.1179  0.0000
Ge  0.5360  0.8821  0.0000
Ge  0.5476  0.8831  0.5000
Ge  0.6275  0.5953  0.5000
Ge  0.6309  0.6001  0.0000
Ge  0.6572  0.3200  0.3475
Ge  0.6572  0.3200  0.6525
Ge  0.8428  0.8200  0.3475
Ge  0.8428  0.8200  0.6525
Ge  0.8691  0.1001  0.0000
Ge  0.8725  0.0953  0.5000
Ge  0.9524  0.3831  0.5000
Ge  0.9640  0.3821  0.0000
Os  0.0000  0.0000  0.2483
Os  0.0000  0.0000  0.7517
Os  0.0895  0.7364  0.2499
Os  0.0895  0.7364  0.7501
Os  0.4105  0.2364  0.2499
Os  0.4105  0.2364  0.7501
Os  0.5000  0.5000  0.2483
Os  0.5000  0.5000  0.7517
Os  0.5895  0.7636  0.2499
Os  0.5895  0.7636  0.7501
Os  0.9105  0.2636  0.2499
Os  0.9105  0.2636  0.7501

Top 10 peaks for 10 to 90 degrees two-theta, in order of rising 2θ:
2θ = 21.27°, intensity 29
2θ = 35.27°, intensity 33
2θ = 36.30°, intensity 70
2θ = 37.94°, intensity 35
2θ = 38.32°, intensity 100
2θ = 40.44°, intensity 42
2θ = 43.32°, intensity 31
2θ = 62.61°, intensity 15
2θ = 64.66°, intensity 18
2θ = 74.86°, intensity 15

3.
Simulated powder X-ray diffraction pattern of LuGePd2 for Cu Kα (weighted mean of Kα1 and Kα2), from a GGA-PBE-relaxed structure.
Kinematic intensities with the Lorentz-polarization factor, no thermal factor.

Cell: 7.2056 7.1979 5.5813 Å, 90.00 90.00 90.00°
Element x y z (fractional)
Lu  0.0232  0.2500  0.1442
Lu  0.4768  0.7500  0.6442
Lu  0.5232  0.2500  0.3558
Lu  0.9768  0.7500  0.8558
Ge  0.1198  0.7500  0.3617
Ge  0.3802  0.2500  0.8617
Ge  0.6198  0.7500  0.1383
Ge  0.8802  0.2500  0.6383
Pd  0.1855  0.0511  0.5875
Pd  0.1855  0.4489  0.5875
Pd  0.3145  0.5511  0.0875
Pd  0.3145  0.9489  0.0875
Pd  0.6855  0.0511  0.9125
Pd  0.6855  0.4489  0.9125
Pd  0.8145  0.5511  0.4125
Pd  0.8145  0.9489  0.4125

Top 10 peaks for 10 to 90 degrees two-theta, in order of rising 2θ:
2θ = 32.08°, intensity 96
2θ = 34.46°, intensity 23
2θ = 35.25°, intensity 79
2θ = 36.72°, intensity 100
2θ = 38.88°, intensity 38
2θ = 40.91°, intensity 92
2θ = 42.89°, intensity 81
2θ = 64.22°, intensity 21
2θ = 67.10°, intensity 27
2θ = 72.70°, intensity 26

4.
Simulated powder X-ray diffraction pattern of Lu3Ge2Rh2 for Cu Kα (weighted mean of Kα1 and Kα2), from a GGA-PBE-relaxed structure.
Kinematic intensities with the Lorentz-polarization factor, no thermal factor.

Cell: 5.5053 7.7622 13.0648 Å, 90.00 90.00 90.00°
Element x y z (fractional)
Lu  0.1290  0.2467  0.2500
Lu  0.1290  0.2533  0.7500
Lu  0.3520  0.6057  0.1004
Lu  0.3520  0.6057  0.3996
Lu  0.3520  0.8943  0.6004
Lu  0.3520  0.8943  0.8996
Lu  0.6480  0.1057  0.1004
Lu  0.6480  0.1057  0.3996
Lu  0.6480  0.3943  0.6004
Lu  0.6480  0.3943  0.8996
Lu  0.8710  0.7467  0.2500
Lu  0.8710  0.7533  0.7500
Ge  0.1611  0.2500  0.0000
Ge  0.1611  0.2500  0.5000
Ge  0.3788  0.6104  0.7500
Ge  0.3788  0.8896  0.2500
Ge  0.6212  0.1104  0.7500
Ge  0.6212  0.3896  0.2500
Ge  0.8389  0.7500  0.0000
Ge  0.8389  0.7500  0.5000
Rh  0.1289  0.5385  0.5938
Rh  0.1289  0.5385  0.9062
Rh  0.1289  0.9615  0.0938
Rh  0.1289  0.9615  0.4062
Rh  0.8711  0.0385  0.5938
Rh  0.8711  0.0385  0.9062
Rh  0.8711  0.4615  0.0938
Rh  0.8711  0.4615  0.4062

Top 10 peaks for 10 to 90 degrees two-theta, in order of rising 2θ:
2θ = 30.86°, intensity 34
2θ = 33.94°, intensity 66
2θ = 34.57°, intensity 60
2θ = 35.00°, intensity 59
2θ = 35.27°, intensity 26
2θ = 35.94°, intensity 52
2θ = 38.44°, intensity 79
2θ = 40.47°, intensity 100
2θ = 41.47°, intensity 38
2θ = 49.82°, intensity 25

5.
Simulated powder X-ray diffraction pattern of Lu4Ge6Rh7 for Cu Kα (weighted mean of Kα1 and Kα2), from a GGA-PBE-relaxed structure.
Kinematic intensities with the Lorentz-polarization factor, no thermal factor.

Cell: 7.2090 7.2090 7.2090 Å, 109.47 109.47 109.47°
Element x y z (fractional)
Lu  0.0000  0.0000  0.5000
Lu  0.0000  0.5000  0.0000
Lu  0.5000  0.0000  0.0000
Lu  0.5000  0.5000  0.5000
Ge  0.0000  0.3179  0.3179
Ge  0.0000  0.6821  0.6821
Ge  0.3179  0.0000  0.3179
Ge  0.3179  0.3179  0.0000
Ge  0.6821  0.0000  0.6821
Ge  0.6821  0.6821  0.0000
Rh  0.0000  0.0000  0.0000
Rh  0.2500  0.5000  0.7500
Rh  0.2500  0.7500  0.5000
Rh  0.5000  0.2500  0.7500
Rh  0.5000  0.7500  0.2500
Rh  0.7500  0.2500  0.5000
Rh  0.7500  0.5000  0.2500

Top 10 peaks for 10 to 90 degrees two-theta, in order of rising 2θ:
2θ = 30.37°, intensity 33
2θ = 37.42°, intensity 100
2θ = 40.55°, intensity 19
2θ = 43.49°, intensity 62
2θ = 51.49°, intensity 13
2θ = 63.19°, intensity 33
2θ = 71.71°, intensity 11
2θ = 75.80°, intensity 27
2θ = 79.83°, intensity 9
2θ = 87.74°, intensity 9

6.
Simulated powder X-ray diffraction pattern of Lu4Ge6Ru7 for Cu Kα (weighted mean of Kα1 and Kα2), from a GGA-PBE-relaxed structure.
Kinematic intensities with the Lorentz-polarization factor, no thermal factor.

Cell: 7.1968 7.1968 7.1968 Å, 109.47 109.47 109.47°
Element x y z (fractional)
Lu  0.0000  0.0000  0.5000
Lu  0.0000  0.5000  0.0000
Lu  0.5000  0.0000  0.0000
Lu  0.5000  0.5000  0.5000
Ge  0.0000  0.3141  0.3141
Ge  0.0000  0.6859  0.6859
Ge  0.3141  0.0000  0.3141
Ge  0.3141  0.3141  0.0000
Ge  0.6859  0.0000  0.6859
Ge  0.6859  0.6859  0.0000
Ru  0.0000  0.0000  0.0000
Ru  0.2500  0.5000  0.7500
Ru  0.2500  0.7500  0.5000
Ru  0.5000  0.2500  0.7500
Ru  0.5000  0.7500  0.2500
Ru  0.7500  0.2500  0.5000
Ru  0.7500  0.5000  0.2500

Top 10 peaks for 10 to 90 degrees two-theta, in order of rising 2θ:
2θ = 30.42°, intensity 32
2θ = 37.49°, intensity 100
2θ = 40.62°, intensity 17
2θ = 43.56°, intensity 62
2θ = 51.59°, intensity 12
2θ = 63.31°, intensity 33
2θ = 71.85°, intensity 11
2θ = 75.96°, intensity 28
2θ = 79.99°, intensity 9
2θ = 87.93°, intensity 9